# 1
The following is a computed powder diffraction line list of Ce2SmTc2. It was derived from a crystal structure in Alexandria, relaxed with GGA-PBE, using Cu Kα, 1.54184 Å.
Intensities are scaled so that the largest is 100.

The 10 most intense peaks (2θ = 15–90°), sorted by position:
25.9 deg, rel. 30; 28.4 deg, rel. 39; 29.7 deg, rel. 29; 31.8 deg, rel. 69; 32.0 deg, rel. 79; 35.4 deg, rel. 55; 36.1 deg, rel. 100; 38.2 deg, rel. 57; 39.8 deg, rel. 49; 40.4 deg, rel. 25

Crystal structure
a b c (Å): 4.5458 5.9759 9.6940
angles (deg): 77.78 80.47 70.59
Atoms (fractional coordinates):
Ce (0.0291, 0.3656, 0.1942)
Ce (0.2183, 0.7488, 0.4234)
Ce (0.7817, 0.2512, 0.5766)
Ce (0.9709, 0.6344, 0.8058)
Sm (0.2801, 0.0347, 0.8677)
Sm (0.7199, 0.9653, 0.1323)
Tc (0.3918, 0.5927, 0.1225)
Tc (0.4483, 0.8112, 0.6035)
Tc (0.5517, 0.1888, 0.3965)
Tc (0.6082, 0.4073, 0.8775)

=====

# 2
The following is a computed powder diffraction line list of Na3Cu3Cl8. It was derived from a crystal structure in Alexandria, relaxed with GGA-PBE, using Cu Kα, 1.54184 Å.
Intensities are scaled so that the largest is 100.

The 10 most intense peaks (2θ = 15–90°), sorted by position:
24.0 deg, rel. 67; 26.7 deg, rel. 49; 27.6 deg, rel. 100; 29.2 deg, rel. 31; 33.4 deg, rel. 68; 43.9 deg, rel. 31; 44.5 deg, rel. 27; 46.7 deg, rel. 81; 49.0 deg, rel. 81; 70.0 deg, rel. 21

Crystal structure
a b c (Å): 7.7948 7.7948 7.7948
angles (deg): 56.93 56.93 56.93
Atoms (fractional coordinates):
Na (0.0000, 0.5000, 0.5000)
Na (0.5000, 0.0000, 0.5000)
Na (0.5000, 0.5000, 0.0000)
Cu (0.1338, 0.1338, 0.1338)
Cu (0.5000, 0.5000, 0.5000)
Cu (0.8662, 0.8662, 0.8662)
Cl (0.2479, 0.7344, 0.7344)
Cl (0.2509, 0.2509, 0.2509)
Cl (0.2656, 0.2656, 0.7521)
Cl (0.2656, 0.7521, 0.2656)
Cl (0.7344, 0.2479, 0.7344)
Cl (0.7344, 0.7344, 0.2479)
Cl (0.7491, 0.7491, 0.7491)
Cl (0.7521, 0.2656, 0.2656)